Entry 1:
Diffraction record for Pd5Se. The powder XRD pattern is calculated, not measured: it uses a GGA-PBE-relaxed structure and CuKα.
Peak positions follow from Bragg's law for the DFT cell and can differ from measured ones.

Structure:
abc: 5.1487 5.1487 5.4900
angles: 119.24 119.24 50.74
Element x y z (fractional)
Pd 0.0000 0.0000 0.0000
Pd 0.0483 0.0483 0.5305
Pd 0.3575 0.3575 0.2025
Pd 0.6647 0.6647 0.8793
Pd 0.7157 0.7157 0.4127
Se 0.3573 0.3573 0.7108

Top 6 peaks for 10° ≤ 2θ ≤ 90°, by angle:
| two_theta | intensity |
| --- | --- |
| 39.8 | 100 |
| 40.2 | 89 |
| 40.9 | 53 |
| 41.3 | 40 |
| 59.5 | 27 |
| 73.8 | 16 |

Entry 2:
Diffraction record for CdH6Br. The powder XRD pattern is calculated, not measured: it uses a GGA-PBE-relaxed structure and CuKα.
Peak positions follow from Bragg's law for the DFT cell and can differ from measured ones.

Structure:
abc: 3.8405 5.6587 6.3182
angles: 82.34 81.65 74.48
Element x y z (fractional)
Cd 0.0000 0.0000 0.0000
H 0.1617 0.0209 0.3227
H 0.5098 0.0057 0.9864
H 0.6148 0.4794 0.2574
H 0.7103 0.5822 0.2337
H 0.8171 0.5665 0.8263
H 0.9308 0.5006 0.7339
Br 0.3474 0.0481 0.5113

Top 6 peaks for 10° ≤ 2θ ≤ 90°, by angle:
| two_theta | intensity |
| --- | --- |
| 16.3 | 100 |
| 26.7 | 27 |
| 27.1 | 27 |
| 28.7 | 26 |
| 31.7 | 21 |
| 36.3 | 23 |

Entry 3:
Diffraction record for Ca10Al6Ge9. The powder XRD pattern is calculated, not measured: it uses a GGA-PBE-relaxed structure and CuKα.
Peak positions follow from Bragg's law for the DFT cell and can differ from measured ones.

Structure:
abc: 10.6977 10.6977 10.6977
angles: 81.35 81.35 81.35
Element x y z (fractional)
Ca 0.0000 0.0000 0.0000
Ca 0.0000 0.2924 0.7076
Ca 0.0000 0.7076 0.2924
Ca 0.1571 0.1571 0.4474
Ca 0.1571 0.4474 0.1571
Ca 0.2063 0.5000 0.7937
Ca 0.2063 0.7937 0.5000
Ca 0.2924 0.0000 0.7076
Ca 0.2924 0.7076 0.0000
Ca 0.4474 0.1571 0.1571
Ca 0.5000 0.2063 0.7937
Ca 0.5000 0.5000 0.5000
Ca 0.5000 0.7937 0.2063
Ca 0.5526 0.8429 0.8429
Ca 0.7076 0.0000 0.2924
Ca 0.7076 0.2924 0.0000
Ca 0.7937 0.2063 0.5000
Ca 0.7937 0.5000 0.2063
Ca 0.8429 0.5526 0.8429
Ca 0.8429 0.8429 0.5526
Al 0.0013 0.2149 0.2149
Al 0.1833 0.4694 0.4694
Al 0.2149 0.0013 0.2149
Al 0.2149 0.2149 0.0013
Al 0.4694 0.1833 0.4694
Al 0.4694 0.4694 0.1833
Al 0.5306 0.5306 0.8167
Al 0.5306 0.8167 0.5306
Al 0.7851 0.7851 0.9987
Al 0.7851 0.9987 0.7851
Al 0.8167 0.5306 0.5306
Al 0.9987 0.7851 0.7851
Ge 0.0129 0.0129 0.6855
Ge 0.0130 0.6088 0.6088
Ge 0.0129 0.6855 0.0129
Ge 0.2957 0.2957 0.6180
Ge 0.2957 0.6180 0.2957
Ge 0.3145 0.9871 0.9871
Ge 0.3820 0.7043 0.7043
Ge 0.3912 0.3912 0.9870
Ge 0.3912 0.9870 0.3912
Ge 0.6088 0.0130 0.6088
Ge 0.6088 0.6088 0.0130
Ge 0.6180 0.2957 0.2957
Ge 0.6856 0.0129 0.0129
Ge 0.7043 0.3820 0.7043
Ge 0.7043 0.7043 0.3820
Ge 0.9871 0.3144 0.9871
Ge 0.9870 0.3912 0.3912
Ge 0.9871 0.9871 0.3145

Top 6 peaks for 10° ≤ 2θ ≤ 90°, by angle:
| two_theta | intensity |
| --- | --- |
| 25.5 | 81 |
| 33.8 | 100 |
| 34.8 | 21 |
| 38.7 | 76 |
| 44.7 | 24 |
| 46.8 | 22 |

Entry 4:
Diffraction record for PrH2Br4. The powder XRD pattern is calculated, not measured: it uses a GGA-PBE-relaxed structure and CuKα.
Peak positions follow from Bragg's law for the DFT cell and can differ from measured ones.

Structure:
abc: 8.0564 8.0564 5.9766
angles: 90.00 90.00 151.49
Element x y z (fractional)
Pr 0.0000 0.0000 0.0000
H 0.3957 0.6043 0.5000
H 0.6043 0.3957 0.5000
Br 0.1075 0.8925 0.5000
Br 0.3661 0.6339 0.0000
Br 0.6339 0.3661 0.0000
Br 0.8925 0.1075 0.5000

Top 6 peaks for 10° ≤ 2θ ≤ 90°, by angle:
| two_theta | intensity |
| --- | --- |
| 11.3 | 56 |
| 14.8 | 23 |
| 28.3 | 22 |
| 29.9 | 51 |
| 32.1 | 100 |
| 39.7 | 60 |

Entry 5:
Diffraction record for Tb3RuPb2. The powder XRD pattern is calculated, not measured: it uses a GGA-PBE-relaxed structure and CuKα.
Peak positions follow from Bragg's law for the DFT cell and can differ from measured ones.

Structure:
abc: 12.7494 4.3483 11.8293
angles: 90.00 90.00 90.00
Element x y z (fractional)
Tb 0.0554 0.2500 0.1306
Tb 0.1188 0.7500 0.5389
Tb 0.2491 0.7500 0.2835
Tb 0.2509 0.2500 0.7835
Tb 0.3812 0.2500 0.0389
Tb 0.4446 0.7500 0.6306
Tb 0.5554 0.2500 0.3694
Tb 0.6188 0.7500 0.9611
Tb 0.7491 0.7500 0.2165
Tb 0.7509 0.2500 0.7165
Tb 0.8812 0.2500 0.4611
Tb 0.9446 0.7500 0.8694
Ru 0.1273 0.2500 0.3669
Ru 0.3727 0.7500 0.8669
Ru 0.6273 0.2500 0.1331
Ru 0.8727 0.7500 0.6331
Pb 0.0122 0.2500 0.6958
Pb 0.1852 0.7500 0.9923
Pb 0.3148 0.2500 0.4923
Pb 0.4878 0.7500 0.1958
Pb 0.5122 0.2500 0.8042
Pb 0.6852 0.7500 0.5077
Pb 0.8148 0.2500 0.0077
Pb 0.9878 0.7500 0.3042

Top 6 peaks for 10° ≤ 2θ ≤ 90°, by angle:
| two_theta | intensity |
| --- | --- |
| 29.1 | 88 |
| 30.6 | 100 |
| 31.9 | 61 |
| 35.7 | 89 |
| 39.5 | 67 |
| 41.5 | 76 |

Entry 6:
Diffraction record for Rb2HgS2. The powder XRD pattern is calculated, not measured: it uses a GGA-PBE-relaxed structure and CuKα.
Peak positions follow from Bragg's law for the DFT cell and can differ from measured ones.

Structure:
abc: 9.1311 8.1262 7.7086
angles: 70.37 56.96 52.67
Element x y z (fractional)
Rb 0.0752 0.6748 0.0752
Rb 0.3252 0.9248 0.3252
Rb 0.6748 0.0752 0.6748
Rb 0.9248 0.3252 0.9248
Hg 0.3750 0.3750 0.3750
Hg 0.6250 0.6250 0.6250
S 0.1207 0.6293 0.6293
S 0.3707 0.8793 0.8793
S 0.6293 0.1207 0.1207
S 0.8793 0.3707 0.3707

Top 6 peaks for 10° ≤ 2θ ≤ 90°, by angle:
| two_theta | intensity |
| --- | --- |
| 13.7 | 65 |
| 23.5 | 89 |
| 24.6 | 100 |
| 26.6 | 71 |
| 31.0 | 55 |
| 37.2 | 36 |

Entry 7:
Diffraction record for InPb2. The powder XRD pattern is calculated, not measured: it uses a GGA-PBE-relaxed structure and CuKα.
Peak positions follow from Bragg's law for the DFT cell and can differ from measured ones.

Structure:
abc: 3.5341 3.5341 14.4690
angles: 90.00 90.00 90.00
Element x y z (fractional)
In 0.0000 0.0000 0.1634
In 0.0000 0.0000 0.8366
Pb 0.0000 0.0000 0.5000
Pb 0.5000 0.5000 0.0000
Pb 0.5000 0.5000 0.3286
Pb 0.5000 0.5000 0.6714

Top 6 peaks for 10° ≤ 2θ ≤ 90°, by angle:
| two_theta | intensity |
| --- | --- |
| 31.4 | 100 |
| 35.9 | 35 |
| 37.3 | 16 |
| 52.8 | 23 |
| 61.8 | 30 |
| 63.6 | 13 |

Entry 8:
Diffraction record for Pu4Te3As. The powder XRD pattern is calculated, not measured: it uses a GGA-PBE-relaxed structure and CuKα.
Peak positions follow from Bragg's law for the DFT cell and can differ from measured ones.

Structure:
abc: 7.5881 7.5881 4.3595
angles: 90.00 90.00 109.29
Element x y z (fractional)
Pu 0.2309 0.2309 0.5000
Pu 0.2398 0.7602 0.0000
Pu 0.7602 0.2398 0.0000
Pu 0.7691 0.7691 0.5000
Te 0.0000 0.5000 0.5000
Te 0.5000 0.0000 0.5000
Te 0.5000 0.5000 0.0000
As 0.0000 0.0000 0.0000

Top 6 peaks for 10° ≤ 2θ ≤ 90°, by angle:
| two_theta | intensity |
| --- | --- |
| 28.9 | 100 |
| 41.3 | 50 |
| 41.4 | 13 |
| 51.0 | 13 |
| 51.3 | 14 |
| 67.7 | 22 |